This entry pairs a crystal structure of Ag2ICl with its theoretical X-ray diffraction stick pattern. Radiation: Cu Kα X-rays. Structure: DFT lattice parameters and positions (GGA-PBE).

The 10 most intense peaks (5° ≤ 2θ ≤ 70°), by angle:
2θ/deg, intensity
22.8, 100
23.2, 56
24.3, 88
25.8, 38
26.0, 54
39.8, 48
40.5, 85
43.6, 61
44.0, 43
47.5, 35

Atomic structure:
```
Ag2ICl
1.0
4.528 0.000 0.000
-0.005 7.666 0.000
-2.260 -3.704 7.311
Ag I Cl
4 2 2
direct
0.000 0.000 0.000 Ag
0.227 0.579 0.457 Ag
0.490 0.481 0.980 Ag
0.759 0.065 0.520 Ag
0.191 0.179 0.384 I
0.423 0.763 0.848 I
0.673 0.673 0.349 Cl
0.941 0.274 0.883 Cl
```

***

This entry pairs a crystal structure of AgI2Cl4 with its theoretical X-ray diffraction stick pattern. Radiation: Cu Kα X-rays. Structure: DFT lattice parameters and positions (GGA-PBE).

The 10 most intense peaks (5° ≤ 2θ ≤ 70°), by angle:
2θ/deg, intensity
15.7, 100
21.2, 32
22.6, 69
23.7, 62
25.4, 51
31.5, 18
31.7, 21
32.0, 40
34.3, 29
43.4, 27

Atomic structure:
```
AgI2Cl4
1.0
3.851 0.000 0.000
-1.307 8.443 0.000
-1.306 -0.907 8.409
Ag I Cl
1 2 4
direct
0.000 0.000 0.000 Ag
0.003 0.622 0.272 I
0.004 0.271 0.624 I
0.105 0.571 0.572 Cl
0.591 0.129 0.137 Cl
0.911 0.680 0.992 Cl
0.911 0.990 0.684 Cl
```

***

This entry pairs a crystal structure of Ag6ICl12 with its theoretical X-ray diffraction stick pattern. Radiation: Cu Kα X-rays. Structure: DFT lattice parameters and positions (GGA-PBE).

The 10 most intense peaks (5° ≤ 2θ ≤ 70°), by angle:
2θ/deg, intensity
18.9, 21
22.0, 37
24.2, 100
27.4, 20
34.4, 20
37.7, 44
40.5, 40
41.3, 18
44.1, 15
46.5, 37

Atomic structure:
```
Ag6ICl12
1.0
5.899 3.406 4.039
-5.899 3.406 4.039
0.000 -6.811 4.039
Ag I Cl
6 1 12
direct
0.106 0.634 0.848 Ag
0.152 0.894 0.366 Ag
0.366 0.152 0.894 Ag
0.634 0.848 0.106 Ag
0.848 0.106 0.634 Ag
0.894 0.366 0.152 Ag
0.500 0.500 0.500 I
0.087 0.890 0.677 Cl
0.110 0.323 0.913 Cl
0.201 0.548 0.377 Cl
0.323 0.913 0.110 Cl
0.377 0.201 0.548 Cl
0.452 0.623 0.799 Cl
0.548 0.377 0.201 Cl
0.623 0.799 0.452 Cl
0.677 0.087 0.890 Cl
0.799 0.452 0.623 Cl
0.890 0.677 0.087 Cl
0.913 0.110 0.323 Cl
```